Simulated XRD peak list
Compound: CoTcSe4
Radiation: Cu Kα X-rays
Structure: a GGA-PBE-relaxed structure
Lines closer than 0.1° are merged.

Atomic structure:
Cell: 6.7358 6.7358 5.8529 Å, 101.29 101.29 29.26°
Element x y z (fractional)
Co (0.0000, 0.0000, 0.0000)
Tc (0.5016, 0.5016, 0.4057)
Se (0.1326, 0.1326, 0.3450)
Se (0.3731, 0.3731, 0.0509)
Se (0.5978, 0.5978, 0.8463)
Se (0.9024, 0.9024, 0.5965)

Top 12 peaks for 2θ = 15–90°, in order of rising 2θ:
30.64 deg, I = 9.2
31.21 deg, I = 11.2
31.53 deg, I = 10.0
32.08 deg, I = 16.2
35.39 deg, I = 100.0
36.89 deg, I = 40.9
44.63 deg, I = 18.6
47.81 deg, I = 14.0
49.77 deg, I = 31.0
53.90 deg, I = 16.5
54.26 deg, I = 21.9
67.10 deg, I = 13.6


Simulated XRD peak list
Compound: Tb14SmPb
Radiation: Cu Kα X-rays
Structure: a GGA-PBE-relaxed structure
Lines closer than 0.1° are merged.

Atomic structure:
Cell: 10.9013 6.9582 6.9582 Å, 74.50 90.00 90.00°
Element x y z (fractional)
Tb (0.0000, 0.0000, 0.0000)
Tb (0.0000, 0.4493, 0.4493)
Tb (0.0000, 0.5291, 0.9289)
Tb (0.0000, 0.9289, 0.5291)
Tb (0.2233, 0.2283, 0.2283)
Tb (0.2555, 0.3009, 0.7179)
Tb (0.2555, 0.7179, 0.3009)
Tb (0.2797, 0.7923, 0.7923)
Tb (0.5000, 0.0938, 0.5017)
Tb (0.5000, 0.5017, 0.0938)
Tb (0.7203, 0.7923, 0.7923)
Tb (0.7445, 0.3009, 0.7179)
Tb (0.7445, 0.7179, 0.3009)
Tb (0.7767, 0.2283, 0.2283)
Sm (0.5000, 0.0261, 0.0261)
Pb (0.5000, 0.5758, 0.5758)

Top 12 peaks for 2θ = 15–90°, in order of rising 2θ:
27.87 deg, I = 11.4
31.12 deg, I = 13.7
31.32 deg, I = 100.0
32.33 deg, I = 15.9
32.87 deg, I = 32.5
33.38 deg, I = 9.8
33.95 deg, I = 9.1
42.95 deg, I = 8.3
46.77 deg, I = 10.0
52.62 deg, I = 8.9
57.71 deg, I = 13.7
63.45 deg, I = 8.7